Computed powder XRD pattern of LuInAg2 for copper Kα, from a structure optimized by DFT (PBE).
Intensities are scaled so that the largest is 100.

Largest 10 diffraction maxima, by angle, 2θ = 15–90°:
d [Å]	Position (°2θ)	intensity
4.099	21.7	11
3.005	29.7	36
2.392	37.6	91
2.367	38.0	100
1.859	49.0	9
1.683	54.5	30
1.386	67.6	13
1.371	68.4	30
1.366	68.7	17
1.183	81.3	11

Structural model:
abc: 4.733 4.733 8.839
angles: 90.00 90.00 120.00
Fractional positions:
Lu (0.333, 0.667, 0.250)
Lu (0.667, 0.333, 0.750)
In (0.000, 0.000, 0.000)
In (0.000, 0.000, 0.500)
Ag (0.333, 0.667, 0.592)
Ag (0.333, 0.667, 0.908)
Ag (0.667, 0.333, 0.092)
Ag (0.667, 0.333, 0.408)

Computed powder XRD pattern of LuSiH2O4 for copper Kα, from a structure optimized by DFT (PBE).
Intensities are scaled so that the largest is 100.

Largest 10 diffraction maxima, by angle, 2θ = 15–90°:
d [Å]	Position (°2θ)	intensity
5.413	16.4	33
4.615	19.2	100
4.142	21.5	65
3.451	25.8	60
3.216	27.7	60
2.811	31.8	41
2.639	34.0	46
2.495	36.0	36
2.462	36.5	51
1.861	48.9	26

Structural model:
abc: 4.787 6.432 11.231
angles: 90.00 105.43 90.00
Fractional positions:
Lu (0.009, 0.244, 0.328)
Lu (0.009, 0.256, 0.828)
Lu (0.991, 0.744, 0.172)
Lu (0.991, 0.756, 0.672)
Si (0.267, 0.232, 0.102)
Si (0.267, 0.268, 0.602)
Si (0.733, 0.732, 0.398)
Si (0.733, 0.768, 0.898)
H (0.358, 0.740, 0.503)
H (0.358, 0.760, 0.003)
H (0.463, 0.015, 0.744)
H (0.463, 0.485, 0.244)
H (0.537, 0.515, 0.756)
H (0.537, 0.985, 0.256)
H (0.642, 0.240, 0.997)
H (0.642, 0.260, 0.497)
O (0.064, 0.744, 0.992)
O (0.064, 0.756, 0.492)
O (0.211, 0.043, 0.202)
O (0.211, 0.457, 0.702)
O (0.250, 0.054, 0.701)
O (0.250, 0.446, 0.201)
O (0.410, 0.234, 0.976)
O (0.410, 0.266, 0.476)
O (0.590, 0.734, 0.524)
O (0.590, 0.766, 0.024)
O (0.750, 0.554, 0.799)
O (0.750, 0.946, 0.299)
O (0.789, 0.543, 0.298)
O (0.789, 0.957, 0.798)
O (0.936, 0.244, 0.508)
O (0.936, 0.256, 0.008)

Computed powder XRD pattern of Pr2YCu4Pb4 for copper Kα, from a structure optimized by DFT (PBE).
Intensities are scaled so that the largest is 100.

Largest 10 diffraction maxima, by angle, 2θ = 15–90°:
d [Å]	Position (°2θ)	intensity
3.452	25.8	35
3.199	27.9	33
2.807	31.9	25
2.769	32.3	100
2.732	32.8	82
2.550	35.2	17
2.344	38.4	50
2.072	43.7	40
2.025	44.8	26
1.272	74.6	19

Structural model:
abc: 8.742 8.742 8.742
angles: 148.89 132.48 57.89
Fractional positions:
Pr (0.133, 0.133, 0.000)
Pr (0.867, 0.867, 0.000)
Y (0.500, 0.000, 0.500)
Cu (0.145, 0.330, 0.815)
Cu (0.485, 0.670, 0.815)
Cu (0.515, 0.330, 0.185)
Cu (0.855, 0.670, 0.185)
Pb (0.212, 0.500, 0.712)
Pb (0.286, 0.786, 0.500)
Pb (0.714, 0.214, 0.500)
Pb (0.788, 0.500, 0.288)

Computed powder XRD pattern of RbLuSO for copper Kα, from a structure optimized by DFT (PBE).
Intensities are scaled so that the largest is 100.

Largest 10 diffraction maxima, by angle, 2θ = 15–90°:
d [Å]	Position (°2θ)	intensity
3.798	23.4	78
3.356	26.6	31
3.108	28.7	100
2.987	29.9	90
2.770	32.3	32
2.677	33.5	76
2.540	35.3	51
2.286	39.4	44
1.791	51.0	29
1.744	52.5	34

Structural model:
abc: 7.776 7.168 6.348
angles: 90.00 102.37 90.00
Fractional positions:
Rb (0.081, 0.234, 0.002)
Rb (0.081, 0.266, 0.502)
Rb (0.919, 0.734, 0.498)
Rb (0.919, 0.766, 0.998)
Lu (0.479, 0.627, 0.275)
Lu (0.479, 0.873, 0.775)
Lu (0.521, 0.127, 0.225)
Lu (0.521, 0.373, 0.725)
S (0.266, 0.595, 0.859)
S (0.266, 0.905, 0.359)
S (0.734, 0.095, 0.641)
S (0.734, 0.405, 0.141)
O (0.399, 0.145, 0.881)
O (0.399, 0.355, 0.381)
O (0.601, 0.645, 0.619)
O (0.601, 0.855, 0.119)

Computed powder XRD pattern of YErI6 for copper Kα, from a structure optimized by DFT (PBE).
Intensities are scaled so that the largest is 100.

Largest 10 diffraction maxima, by angle, 2θ = 15–90°:
d [Å]	Position (°2θ)	intensity
3.759	23.7	14
3.655	24.4	19
3.604	24.7	51
3.138	28.4	100
3.121	28.6	49
2.234	40.4	19
2.223	40.6	37
2.203	41.0	53
1.800	50.7	18
1.396	67.0	15

Structural model:
abc: 7.630 13.222 7.724
angles: 90.00 108.80 90.00
Fractional positions:
Y (0.000, 0.000, 0.000)
Y (0.500, 0.500, 0.000)
Er (0.000, 0.332, 0.000)
Er (0.500, 0.832, 0.000)
I (0.223, 0.167, 0.244)
I (0.245, 0.342, 0.761)
I (0.248, 0.989, 0.761)
I (0.252, 0.489, 0.239)
I (0.255, 0.842, 0.239)
I (0.277, 0.667, 0.756)
I (0.723, 0.667, 0.244)
I (0.745, 0.842, 0.761)
I (0.748, 0.489, 0.761)
I (0.752, 0.989, 0.239)
I (0.755, 0.342, 0.239)
I (0.777, 0.167, 0.756)

Computed powder XRD pattern of H5W for copper Kα, from a structure optimized by DFT (PBE).
Intensities are scaled so that the largest is 100.

Largest 10 diffraction maxima, by angle, 2θ = 15–90°:
d [Å]	Position (°2θ)	intensity
3.484	25.6	27
3.049	29.3	47
3.030	29.5	100
2.294	39.3	19
2.289	39.4	18
2.151	42.0	36
2.143	42.2	41
1.830	49.8	18
1.519	61.0	21
1.467	63.4	21

Structural model:
abc: 6.097 3.484 3.035
angles: 90.00 90.00 90.00
Fractional positions:
H (0.074, 0.220, 0.000)
H (0.100, 0.797, 0.499)
H (0.250, 0.333, 0.504)
H (0.400, 0.797, 0.499)
H (0.426, 0.220, 0.000)
H (0.574, 0.780, 0.000)
H (0.600, 0.203, 0.499)
H (0.750, 0.667, 0.504)
H (0.900, 0.203, 0.499)
H (0.926, 0.780, 0.000)
W (0.250, 0.639, 0.979)
W (0.750, 0.361, 0.979)